Simulated XRD peak list
Compound: Ca8Zn3CoSi8O28
Radiation: CuKα
Structure: a cell relaxed with GGA+U
Kinematic intensities with the Lorentz-polarization factor, no thermal factor.

Main lines, most intense first (10 to 90 degrees two-theta):
- hkl 3 1 1, 2θ = 30.85°, rel. 100
- hkl 2 2 1, 2θ = 28.66°, rel. 64
- hkl 4 2 2, 2θ = 51.42°, rel. 44
- hkl 2 0 1, 2θ = 23.74°, rel. 44
- hkl 4 2 0, 2θ = 35.85°, rel. 41
- hkl 6 2 0, 2θ = 51.61°, rel. 16

Cell and atoms:
a b c (Å): 11.201 11.201 5.044
angles (deg): 90.00 90.00 90.00
Space group P-4 (No. 81)
Symmetry-distinct sites (fractional):
Ca 0.082 0.750 0.493 [4 per cell]
Ca 0.250 0.418 0.506 [4 per cell]
Zn 0.000 0.500 0.000 [2 per cell]
Zn 0.500 0.500 0.000 [1 per cell]
Co 0.000 0.000 0.000 [1 per cell]
Si 0.110 0.250 0.063 [4 per cell]
Si 0.250 0.610 0.937 [4 per cell]
O 0.051 0.135 0.219 [4 per cell]
O 0.051 0.365 0.218 [4 per cell]
O 0.109 0.250 0.744 [4 per cell]
O 0.135 0.551 0.782 [4 per cell]
O 0.250 0.250 0.182 [4 per cell]
O 0.250 0.609 0.257 [4 per cell]
O 0.365 0.551 0.782 [4 per cell]